# 1
Theoretical powder X-ray diffraction pattern
Compound: Sm2Sc2CI4Cl
Radiation: Cu Kα (weighted mean of Kα1 and Kα2)
Structure: the GGA-PBE geometry in OQMD

Main lines, sorted by position (2θ = 10–90°):
| hkl | Position (°2θ) | Rel. int. |
| --- | --- | --- |
| 0 0 1 | 10.91 | 32 |
| 4 0 0 | 19.70 | 47 |
| 6 0 0 | 29.73 | 42 |
| 3 1 1 | 30.88 | 25 |
| 1 1 -2 | 31.61 | 100 |
| 5 1 0 | 34.00 | 24 |
| 5 1 -2 | 37.52 | 38 |
| 5 1 2 | 43.97 | 25 |

Crystal structure
```
data_Sm2Sc2CI4Cl
_cell_length_a 18.5110
_cell_length_b 3.8622
_cell_length_c 8.3230
_cell_angle_alpha 90.00
_cell_angle_beta 103.11
_cell_angle_gamma 90.00
_space_group_name_H-M_alt 'C 1 2/m 1'
_space_group_IT_number 12
loop_
_space_group_symop_operation_xyz
'x,y,z'
'-x,-y,-z'
'-x,y,-z'
'x,-y,z'
'x+1/2,y+1/2,z'
'-x+1/2,-y+1/2,-z'
'-x+1/2,y+1/2,-z'
'x+1/2,-y+1/2,z'
loop_
_atom_site_label
_atom_site_type_symbol
_atom_site_fract_x
_atom_site_fract_y
_atom_site_fract_z
Sm1 Sm 0.1351 0.0000 0.0710
Sc1 Sc 0.0007 0.5000 0.8174
C1 C 0.0000 0.0000 0.0000
I1 I 0.1568 0.5000 0.3628
I2 I 0.1630 0.5000 0.8022
Cl1 Cl 0.0000 0.0000 0.5000
```



# 2
Theoretical powder X-ray diffraction pattern
Compound: Tm3In3AgIrPd
Radiation: Cu Kα (weighted mean of Kα1 and Kα2)
Structure: the GGA-PBE geometry in OQMD

Main lines, sorted by position (2θ = 10–90°):
| hkl | Position (°2θ) | Rel. int. |
| --- | --- | --- |
| 1 1 1 | 33.24 | 100 |
| 2 1 0 | 35.26 | 43 |
| 2 0 1 | 35.88 | 89 |
| 3 0 0 | 40.17 | 49 |
| 1 2 1 | 42.98 | 27 |
| 0 0 2 | 48.71 | 38 |
| 3 0 2 | 64.89 | 23 |
| 3 2 1 | 65.35 | 34 |

Crystal structure
```
data_Tm3In3AgIrPd
_cell_length_a 7.7759
_cell_length_b 7.7759
_cell_length_c 3.7408
_cell_angle_alpha 90.00
_cell_angle_beta 90.00
_cell_angle_gamma 120.00
_space_group_name_H-M_alt 'P -6'
_space_group_IT_number 174
loop_
_space_group_symop_operation_xyz
'x,y,z'
'-x+y,-x,-z'
'-y,x-y,z'
'x,y,-z'
'-x+y,-x,z'
'-y,x-y,-z'
loop_
_atom_site_label
_atom_site_type_symbol
_atom_site_fract_x
_atom_site_fract_y
_atom_site_fract_z
Tm1 Tm 0.0850 0.7307 0.0000
In1 In 0.3910 0.0659 0.5000
Ag1 Ag 0.6667 0.3333 0.0000
Ir1 Ir 0.3333 0.6667 0.5000
Pd1 Pd 0.0000 0.0000 0.5000
```



# 3
Theoretical powder X-ray diffraction pattern
Compound: Lu2TaB
Radiation: Cu Kα (weighted mean of Kα1 and Kα2)
Structure: the GGA-PBE geometry in OQMD

Main lines, sorted by position (2θ = 10–90°):
| hkl | Position (°2θ) | Rel. int. |
| --- | --- | --- |
| 1 1 1 | 23.29 | 23 |
| 2 0 0 | 26.96 | 13 |
| 2 2 0 | 38.49 | 100 |
| 3 1 1 | 45.48 | 12 |
| 4 0 0 | 55.57 | 17 |
| 3 3 1 | 61.06 | 5 |
| 4 2 2 | 69.63 | 35 |
| 4 4 0 | 82.49 | 11 |

Crystal structure
```
data_Lu2TaB
_cell_length_a 6.6148
_cell_length_b 6.6148
_cell_length_c 6.6148
_cell_angle_alpha 90.00
_cell_angle_beta 90.00
_cell_angle_gamma 90.00
_space_group_name_H-M_alt 'F -4 3 m'
_space_group_IT_number 216
_space_group_name_Hall 'F -4 2 3'
loop_
_atom_site_label
_atom_site_type_symbol
_atom_site_fract_x
_atom_site_fract_y
_atom_site_fract_z
Lu1 Lu 0.0000 0.0000 0.0000
Lu2 Lu 0.2500 0.2500 0.2500
Ta1 Ta 0.2500 0.2500 0.7500
B1 B 0.0000 0.0000 0.5000
```



# 4
Theoretical powder X-ray diffraction pattern
Compound: Ga3B4Pt9
Radiation: Cu Kα (weighted mean of Kα1 and Kα2)
Structure: the GGA-PBE geometry in OQMD

Main lines, sorted by position (2θ = 10–90°):
| hkl | Position (°2θ) | Rel. int. |
| --- | --- | --- |
| 1 0 2 | 29.80 | 52 |
| 2 1 0 | 30.99 | 51 |
| 1 1 2 | 34.21 | 39 |
| 3 0 0 | 35.27 | 30 |
| 2 1 2 | 41.81 | 100 |
| 3 1 0 | 42.71 | 63 |
| 2 2 2 | 49.95 | 58 |
| 5 1 2 | 75.17 | 34 |

Crystal structure
```
data_Ga3B4Pt9
_cell_length_a 8.8149
_cell_length_b 8.8149
_cell_length_c 6.5209
_cell_angle_alpha 90.00
_cell_angle_beta 90.00
_cell_angle_gamma 120.00
_space_group_name_H-M_alt 'P -6 2 c'
_space_group_IT_number 190
_space_group_name_Hall 'P -6c -2c'
loop_
_atom_site_label
_atom_site_type_symbol
_atom_site_fract_x
_atom_site_fract_y
_atom_site_fract_z
Ga1 Ga 0.0487 0.4887 0.2500
B1 B 0.0000 0.8199 0.0000
B2 B 0.3333 0.6667 0.7500
Pt1 Pt 0.0076 0.1848 0.2500
Pt2 Pt 0.1858 0.7270 0.5201
```